(1)
Calculated XRD peak list
Compound: AlCrCuRu
Radiation: λ = 1.5418 Å (Cu Kα)
Structure: a GGA-PBE-relaxed structure
Neutral-atom scattering factors, no anomalous dispersion.

Structural model:
```
16
Lattice="5.952 0.000 0.000 0.000 5.952 0.000 0.000 0.000 5.952" Properties=species:S:1:pos:R:3 pbc="T T T"
Al 0.000 0.000 0.000
Al 0.000 2.976 2.976
Al 2.976 0.000 2.976
Al 2.976 2.976 0.000
Cr 0.000 0.000 2.976
Cr 0.000 2.976 0.000
Cr 2.976 0.000 0.000
Cr 2.976 2.976 2.976
Cu 1.488 1.488 1.488
Cu 1.488 4.464 4.464
Cu 4.464 1.488 4.464
Cu 4.464 4.464 1.488
Ru 1.488 1.488 4.464
Ru 1.488 4.464 1.488
Ru 4.464 1.488 1.488
Ru 4.464 4.464 4.464
```

Top 8 peaks for 2θ from 10° to 90°, in order of falling intensity:
- 42.98 deg, d 2.104, intensity 1000
- 78.77 deg, d 1.215, intensity 305
- 30.03 deg, d 2.976, intensity 177
- 62.41 deg, d 1.488, intensity 155
- 25.93 deg, d 3.436, intensity 79
- 70.80 deg, d 1.331, intensity 60
- 53.32 deg, d 1.718, intensity 48
- 50.88 deg, d 1.795, intensity 35

***

(2)
Calculated XRD peak list
Compound: Ti2Al2CrCuS8
Radiation: λ = 1.5418 Å (Cu Kα)
Structure: a GGA-PBE-relaxed structure
Neutral-atom scattering factors, no anomalous dispersion.

Structural model:
```
14
Lattice="6.070 -3.499 0.000 6.070 3.499 0.000 -4.074 0.000 5.926" Properties=species:S:1:pos:R:3 pbc="T T T"
Ti 6.070 1.936 0.000
Ti 6.070 -1.936 0.000
Al 3.167 0.000 2.357
Al 7.194 0.000 3.024
Cr 9.367 0.000 0.022
Cu -0.903 0.000 3.738
S -3.021 0.000 4.475
S -0.944 0.000 1.500
S 5.282 0.000 1.477
S 3.164 0.000 4.653
S 8.177 1.636 1.484
S 6.183 1.622 4.473
S 8.177 -1.636 1.484
S 6.183 -1.622 4.473
```

Top 8 peaks for 2θ from 10° to 90°, in order of falling intensity:
- 35.85 deg, d 2.505, intensity 1000
- 52.25 deg, d 1.751, intensity 718
- 51.02 deg, d 1.790, intensity 535
- 29.89 deg, d 2.989, intensity 504
- 29.61 deg, d 3.017, intensity 392
- 24.84 deg, d 3.584, intensity 364
- 29.11 deg, d 3.067, intensity 328
- 50.81 deg, d 1.797, intensity 279

***

(3)
Calculated XRD peak list
Compound: AlCr4CuSe8
Radiation: λ = 1.5418 Å (Cu Kα)
Structure: a GGA-PBE-relaxed structure
Neutral-atom scattering factors, no anomalous dispersion.

Structural model:
```
14
Lattice="0.000 5.266 5.266 5.266 0.000 5.266 5.266 5.266 0.000" Properties=species:S:1:pos:R:3 pbc="T T T"
Al 0.000 0.000 0.000
Cr 6.543 3.989 3.989
Cr 3.989 6.543 3.989
Cr 3.989 3.989 6.543
Cr 6.543 6.543 6.543
Cu 2.633 2.633 2.633
Se 4.040 4.040 4.040
Se 6.493 6.493 4.040
Se 6.493 4.040 6.493
Se 9.124 6.674 6.674
Se 4.040 6.493 6.493
Se 6.674 9.124 6.674
Se 6.674 6.674 9.124
Se 9.124 9.124 9.124
```

Top 8 peaks for 2θ from 10° to 90°, in order of falling intensity:
- 48.92 deg, d 1.862, intensity 1000
- 34.05 deg, d 2.633, intensity 943
- 29.38 deg, d 3.041, intensity 575
- 28.10 deg, d 3.176, intensity 304
- 44.71 deg, d 2.027, intensity 272
- 81.79 deg, d 1.178, intensity 236
- 58.09 deg, d 1.588, intensity 228
- 60.94 deg, d 1.520, intensity 201

***

(4)
Calculated XRD peak list
Compound: DyAl8Cr4
Radiation: λ = 1.5418 Å (Cu Kα)
Structure: a GGA-PBE-relaxed structure
Neutral-atom scattering factors, no anomalous dispersion.

Structural model:
```
13
Lattice="-4.455 4.455 2.527 4.455 -4.455 2.527 4.455 4.455 -2.527" Properties=species:S:1:pos:R:3 pbc="T T T"
Dy 0.000 0.000 0.000
Al 3.000 0.000 0.000
Al 5.909 0.000 0.000
Al 4.455 2.473 0.000
Al 0.000 3.000 0.000
Al 2.473 4.455 0.000
Al 1.982 0.000 2.527
Al 0.000 5.909 0.000
Al 0.000 1.982 2.527
Cr 2.227 2.227 -1.263
Cr 2.227 -2.227 1.263
Cr -2.227 2.227 1.263
Cr 2.227 2.227 1.263
```

Top 8 peaks for 2θ from 10° to 90°, in order of falling intensity:
- 41.07 deg, d 2.198, intensity 1000
- 40.64 deg, d 2.220, intensity 892
- 40.50 deg, d 2.227, intensity 765
- 28.53 deg, d 3.129, intensity 716
- 14.06 deg, d 6.300, intensity 607
- 35.05 deg, d 2.560, intensity 551
- 20.20 deg, d 4.396, intensity 549
- 28.33 deg, d 3.150, intensity 420

***

(5)
Calculated XRD peak list
Compound: ErAl20Cr2
Radiation: λ = 1.5418 Å (Cu Kα)
Structure: a GGA-PBE-relaxed structure
Neutral-atom scattering factors, no anomalous dispersion.

Structural model:
```
46
Lattice="0.000 7.203 7.203 7.203 0.000 7.203 7.203 7.203 0.000" Properties=species:S:1:pos:R:3 pbc="T T T"
Er 1.801 1.801 1.801
Er 12.605 12.605 12.605
Al 0.000 0.000 0.000
Al 3.601 3.601 0.000
Al 3.601 0.000 3.601
Al 4.693 2.759 2.759
Al 8.045 6.111 2.759
Al 8.045 2.759 6.111
Al 9.713 6.361 6.361
Al 11.646 8.294 6.361
Al 11.646 6.361 8.294
Al 5.402 5.402 3.425
Al 5.402 3.425 5.402
Al 7.379 5.402 5.402
Al 2.759 4.693 2.759
Al 6.111 8.045 2.759
Al 2.759 2.759 4.693
Al 8.045 8.045 4.693
Al 6.111 2.759 8.045
Al 8.045 4.693 8.045
Al 9.003 9.003 7.026
Al 9.003 7.026 9.003
Al 10.981 9.003 9.003
Al 0.000 3.601 3.601
Al 3.425 5.402 5.402
Al 5.402 7.379 5.402
Al 5.402 5.402 7.379
Al 6.361 9.713 6.361
Al 8.294 11.646 6.361
Al 6.361 6.361 9.713
Al 11.646 11.646 9.713
Al 8.294 6.361 11.646
Al 11.646 9.713 11.646
Al 7.026 9.003 9.003
Al 9.003 10.981 9.003
Al 9.003 9.003 10.981
Al 2.759 8.045 6.111
Al 2.759 6.111 8.045
Al 4.693 8.045 8.045
Al 6.361 11.646 8.294
Al 6.361 8.294 11.646
Al 9.713 11.646 11.646
Cr 7.203 3.601 3.601
Cr 3.601 7.203 3.601
Cr 3.601 3.601 7.203
Cr 7.203 7.203 7.203
```

Top 8 peaks for 2θ from 10° to 90°, in order of falling intensity:
- 20.45 deg, d 4.343, intensity 1000
- 36.92 deg, d 2.435, intensity 978
- 41.09 deg, d 2.197, intensity 912
- 39.57 deg, d 2.278, intensity 701
- 17.41 deg, d 5.093, intensity 655
- 41.58 deg, d 2.172, intensity 623
- 35.24 deg, d 2.547, intensity 499
- 54.01 deg, d 1.698, intensity 451